Computed XRD peak list
Compound: Pa5PtSe5
Radiation: Cu Kα (weighted mean of Kα1 and Kα2)
Structure: a GGA-PBE-relaxed structure

Main lines, low angle first (2θ = 10–80°):
| 2θ (°) | Rel. int. |
| --- | --- |
| 11.57 | 37 |
| 31.03 | 100 |
| 31.20 | 98 |
| 31.32 | 98 |
| 44.18 | 38 |
| 44.67 | 74 |
| 44.80 | 73 |
| 55.16 | 40 |
| 55.83 | 38 |
| 74.15 | 43 |

```
data_Pa5PtSe5
_chemical_formula_sum 'Pa5 Pt1 Se5'
_space_group_name_H-M_alt 'P 1'
_space_group_IT_number 1
_cell_length_a 7.082
_cell_length_b 7.082
_cell_length_c 8.062
_cell_angle_alpha 106.80
_cell_angle_beta 106.80
_cell_angle_gamma 47.56
loop_
_space_group_symop_operation_xyz
'x,y,z'
loop_
_atom_site_label
_atom_site_fract_x
_atom_site_fract_y
_atom_site_fract_z
Pa1 0.000 0.000 0.000
Pa2 0.333 0.333 0.162
Pa3 0.336 0.336 0.672
Pa4 0.664 0.664 0.328
Pa5 0.667 0.667 0.838
Pt1 0.500 0.500 0.000
Se1 0.159 0.159 0.817
Se2 0.164 0.164 0.342
Se3 0.500 0.500 0.500
Se4 0.836 0.836 0.658
Se5 0.841 0.841 0.183
```

Computed XRD peak list
Compound: PaPt7Se12
Radiation: Cu Kα (weighted mean of Kα1 and Kα2)
Structure: a GGA-PBE-relaxed structure

Main lines, low angle first (2θ = 10–80°):
| 2θ (°) | Rel. int. |
| --- | --- |
| 12.03 | 28 |
| 13.04 | 72 |
| 22.11 | 12 |
| 27.59 | 12 |
| 33.41 | 100 |
| 47.60 | 36 |
| 48.35 | 30 |
| 60.04 | 14 |
| 70.20 | 12 |
| 79.44 | 14 |

```
data_PaPt7Se12
_chemical_formula_sum 'Pa1 Pt7 Se12'
_space_group_name_H-M_alt 'P 1'
_space_group_IT_number 1
_cell_length_a 8.445
_cell_length_b 8.445
_cell_length_c 8.445
_cell_angle_alpha 106.99
_cell_angle_beta 106.99
_cell_angle_gamma 106.99
loop_
_space_group_symop_operation_xyz
'x,y,z'
loop_
_atom_site_label
_atom_site_fract_x
_atom_site_fract_y
_atom_site_fract_z
Pa1 0.000 0.000 0.000
Pt1 0.045 0.134 0.352
Pt2 0.134 0.352 0.045
Pt3 0.352 0.045 0.134
Pt4 0.500 0.500 0.500
Pt5 0.648 0.955 0.866
Pt6 0.866 0.648 0.955
Pt7 0.955 0.866 0.648
Se1 0.090 0.200 0.717
Se2 0.169 0.451 0.370
Se3 0.200 0.717 0.090
Se4 0.283 0.910 0.800
Se5 0.370 0.169 0.451
Se6 0.451 0.370 0.169
Se7 0.549 0.630 0.831
Se8 0.630 0.831 0.549
Se9 0.717 0.090 0.200
Se10 0.800 0.283 0.910
Se11 0.831 0.549 0.630
Se12 0.910 0.800 0.283
```

Computed XRD peak list
Compound: Pa3Si3Pt
Radiation: Cu Kα (weighted mean of Kα1 and Kα2)
Structure: a GGA-PBE-relaxed structure

Main lines, low angle first (2θ = 10–80°):
| 2θ (°) | Rel. int. |
| --- | --- |
| 26.33 | 45 |
| 33.13 | 100 |
| 33.85 | 52 |
| 41.53 | 25 |
| 44.13 | 19 |
| 46.29 | 17 |
| 54.03 | 13 |
| 56.75 | 25 |
| 63.91 | 14 |
| 65.87 | 12 |

```
data_Pa3Si3Pt
_chemical_formula_sum 'Pa3 Si3 Pt1'
_space_group_name_H-M_alt 'P 1'
_space_group_IT_number 1
_cell_length_a 9.413
_cell_length_b 9.413
_cell_length_c 9.413
_cell_angle_alpha 155.94
_cell_angle_beta 154.81
_cell_angle_gamma 35.11
loop_
_space_group_symop_operation_xyz
'x,y,z'
loop_
_atom_site_label
_atom_site_fract_x
_atom_site_fract_y
_atom_site_fract_z
Pa1 0.000 0.000 0.000
Pa2 0.380 0.380 0.000
Pa3 0.684 0.184 0.500
Si1 0.119 0.619 0.500
Si2 0.545 0.545 0.000
Si3 0.831 0.831 0.000
Pt1 0.253 0.753 0.500
```

Computed XRD peak list
Compound: PaSi3Pt2
Radiation: Cu Kα (weighted mean of Kα1 and Kα2)
Structure: a GGA-PBE-relaxed structure

Main lines, low angle first (2θ = 10–80°):
| 2θ (°) | Rel. int. |
| --- | --- |
| 28.59 | 100 |
| 30.39 | 32 |
| 32.11 | 28 |
| 33.28 | 77 |
| 33.75 | 23 |
| 37.24 | 38 |
| 37.46 | 24 |
| 44.07 | 35 |
| 44.31 | 20 |
| 54.97 | 19 |

```
data_PaSi3Pt2
_chemical_formula_sum 'Pa2 Si6 Pt4'
_space_group_name_H-M_alt 'P 1'
_space_group_IT_number 1
_cell_length_a 7.804
_cell_length_b 7.804
_cell_length_c 7.137
_cell_angle_alpha 106.28
_cell_angle_beta 106.28
_cell_angle_gamma 30.53
loop_
_space_group_symop_operation_xyz
'x,y,z'
loop_
_atom_site_label
_atom_site_fract_x
_atom_site_fract_y
_atom_site_fract_z
Pa1 0.142 0.142 0.101
Pa2 0.858 0.858 0.899
Si1 0.025 0.025 0.668
Si2 0.337 0.337 0.558
Si3 0.346 0.346 0.191
Si4 0.654 0.654 0.809
Si5 0.663 0.663 0.442
Si6 0.975 0.975 0.332
Pt1 0.196 0.196 0.667
Pt2 0.489 0.489 0.805
Pt3 0.511 0.511 0.195
Pt4 0.804 0.804 0.333
```

Computed XRD peak list
Compound: Pa2Si4TcPt3
Radiation: Cu Kα (weighted mean of Kα1 and Kα2)
Structure: a GGA-PBE-relaxed structure

Main lines, low angle first (2θ = 10–80°):
| 2θ (°) | Rel. int. |
| --- | --- |
| 28.01 | 38 |
| 30.14 | 35 |
| 31.53 | 45 |
| 34.82 | 99 |
| 35.39 | 100 |
| 43.15 | 71 |
| 51.47 | 31 |
| 56.60 | 50 |
| 65.20 | 27 |
| 69.36 | 26 |

```
data_Pa2Si4TcPt3
_chemical_formula_sum 'Pa2 Si4 Tc1 Pt3'
_space_group_name_H-M_alt 'P 1'
_space_group_IT_number 1
_cell_length_a 4.193
_cell_length_b 4.193
_cell_length_c 9.799
_cell_angle_alpha 90.00
_cell_angle_beta 90.00
_cell_angle_gamma 90.00
loop_
_space_group_symop_operation_xyz
'x,y,z'
loop_
_atom_site_label
_atom_site_fract_x
_atom_site_fract_y
_atom_site_fract_z
Pa1 0.000 0.500 0.245
Pa2 0.500 0.000 0.755
Si1 0.000 0.000 0.500
Si2 0.000 0.500 0.867
Si3 0.500 0.000 0.133
Si4 0.500 0.500 0.500
Tc1 0.500 0.500 0.000
Pt1 0.000 0.000 0.000
Pt2 0.000 0.500 0.623
Pt3 0.500 0.000 0.377
```

Computed XRD peak list
Compound: Pa2TiSi3Pt4
Radiation: Cu Kα (weighted mean of Kα1 and Kα2)
Structure: a GGA-PBE-relaxed structure

Main lines, low angle first (2θ = 10–80°):
| 2θ (°) | Rel. int. |
| --- | --- |
| 27.55 | 26 |
| 31.45 | 34 |
| 33.96 | 53 |
| 35.03 | 100 |
| 43.20 | 54 |
| 49.71 | 28 |
| 56.05 | 26 |
| 62.74 | 18 |
| 67.93 | 22 |
| 73.94 | 26 |

```
data_Pa2TiSi3Pt4
_chemical_formula_sum 'Pa2 Ti1 Si3 Pt4'
_space_group_name_H-M_alt 'P 1'
_space_group_IT_number 1
_cell_length_a 4.189
_cell_length_b 4.189
_cell_length_c 10.201
_cell_angle_alpha 90.00
_cell_angle_beta 90.00
_cell_angle_gamma 90.00
loop_
_space_group_symop_operation_xyz
'x,y,z'
loop_
_atom_site_label
_atom_site_fract_x
_atom_site_fract_y
_atom_site_fract_z
Pa1 0.000 0.500 0.243
Pa2 0.500 0.000 0.757
Ti1 0.000 0.000 0.500
Si1 0.000 0.500 0.871
Si2 0.500 0.000 0.129
Si3 0.500 0.500 0.500
Pt1 0.000 0.000 0.000
Pt2 0.000 0.500 0.638
Pt3 0.500 0.000 0.362
Pt4 0.500 0.500 0.000
```

Computed XRD peak list
Compound: Sm2PaPt
Radiation: Cu Kα (weighted mean of Kα1 and Kα2)
Structure: a GGA-PBE-relaxed structure

Main lines, low angle first (2θ = 10–80°):
| 2θ (°) | Rel. int. |
| --- | --- |
| 16.43 | 20 |
| 30.11 | 31 |
| 30.49 | 100 |
| 33.08 | 23 |
| 33.21 | 22 |
| 37.47 | 68 |
| 41.17 | 91 |
| 53.22 | 44 |
| 64.18 | 24 |
| 65.64 | 23 |

```
data_Sm2PaPt
_chemical_formula_sum 'Sm2 Pa1 Pt1'
_space_group_name_H-M_alt 'P 1'
_space_group_IT_number 1
_cell_length_a 10.972
_cell_length_b 10.972
_cell_length_c 10.972
_cell_angle_alpha 18.05
_cell_angle_beta 18.05
_cell_angle_gamma 18.05
loop_
_space_group_symop_operation_xyz
'x,y,z'
loop_
_atom_site_label
_atom_site_fract_x
_atom_site_fract_y
_atom_site_fract_z
Sm1 0.102 0.102 0.102
Sm2 0.898 0.898 0.898
Pa1 0.000 0.000 0.000
Pt1 0.500 0.500 0.500
```

Computed XRD peak list
Compound: SmPa2Pt4
Radiation: Cu Kα (weighted mean of Kα1 and Kα2)
Structure: a GGA-PBE-relaxed structure

Main lines, low angle first (2θ = 10–80°):
| 2θ (°) | Rel. int. |
| --- | --- |
| 31.68 | 38 |
| 33.16 | 41 |
| 33.73 | 82 |
| 36.38 | 100 |
| 36.42 | 27 |
| 36.71 | 35 |
| 37.42 | 33 |
| 38.78 | 39 |
| 46.53 | 25 |
| 55.20 | 26 |

```
data_SmPa2Pt4
_chemical_formula_sum 'Sm2 Pa4 Pt8'
_space_group_name_H-M_alt 'P 1'
_space_group_IT_number 1
_cell_length_a 8.617
_cell_length_b 8.617
_cell_length_c 10.163
_cell_angle_alpha 91.97
_cell_angle_beta 91.97
_cell_angle_gamma 155.20
loop_
_space_group_symop_operation_xyz
'x,y,z'
loop_
_atom_site_label
_atom_site_fract_x
_atom_site_fract_y
_atom_site_fract_z
Sm1 0.044 0.956 0.750
Sm2 0.956 0.044 0.250
Pa1 0.043 0.745 0.051
Pa2 0.255 0.957 0.449
Pa3 0.745 0.043 0.551
Pa4 0.957 0.255 0.949
Pt1 0.110 0.512 0.359
Pt2 0.405 0.595 0.750
Pt3 0.488 0.890 0.141
Pt4 0.500 0.500 0.000
Pt5 0.500 0.500 0.500
Pt6 0.512 0.110 0.859
Pt7 0.595 0.405 0.250
Pt8 0.890 0.488 0.641
```

Computed XRD peak list
Compound: SrPa2Pt4
Radiation: Cu Kα (weighted mean of Kα1 and Kα2)
Structure: a GGA-PBE-relaxed structure

Main lines, low angle first (2θ = 10–80°):
| 2θ (°) | Rel. int. |
| --- | --- |
| 13.62 | 72 |
| 27.24 | 46 |
| 29.11 | 75 |
| 32.22 | 36 |
| 35.25 | 71 |
| 35.65 | 69 |
| 35.86 | 34 |
| 36.65 | 100 |
| 37.00 | 50 |
| 41.32 | 47 |

```
data_SrPa2Pt4
_chemical_formula_sum 'Sr2 Pa4 Pt8'
_space_group_name_H-M_alt 'P 1'
_space_group_IT_number 1
_cell_length_a 8.391
_cell_length_b 8.391
_cell_length_c 10.868
_cell_angle_alpha 92.13
_cell_angle_beta 92.13
_cell_angle_gamma 154.06
loop_
_space_group_symop_operation_xyz
'x,y,z'
loop_
_atom_site_label
_atom_site_fract_x
_atom_site_fract_y
_atom_site_fract_z
Sr1 0.061 0.939 0.750
Sr2 0.939 0.061 0.250
Pa1 0.018 0.738 0.059
Pa2 0.262 0.982 0.441
Pa3 0.738 0.018 0.559
Pa4 0.982 0.262 0.941
Pt1 0.132 0.655 0.628
Pt2 0.345 0.868 0.872
Pt3 0.409 0.591 0.750
Pt4 0.500 0.500 0.000
Pt5 0.500 0.500 0.500
Pt6 0.591 0.409 0.250
Pt7 0.655 0.132 0.128
Pt8 0.868 0.345 0.372
```

Computed XRD peak list
Compound: Sr5PaPt4
Radiation: Cu Kα (weighted mean of Kα1 and Kα2)
Structure: a GGA-PBE-relaxed structure

Main lines, low angle first (2θ = 10–80°):
| 2θ (°) | Rel. int. |
| --- | --- |
| 10.69 | 82 |
| 23.47 | 15 |
| 29.46 | 47 |
| 29.64 | 100 |
| 41.96 | 36 |
| 42.33 | 17 |
| 42.50 | 20 |
| 42.60 | 32 |
| 52.56 | 19 |
| 69.88 | 14 |

```
data_Sr5PaPt4
_chemical_formula_sum 'Sr5 Pa1 Pt4'
_space_group_name_H-M_alt 'P 1'
_space_group_IT_number 1
_cell_length_a 9.625
_cell_length_b 9.625
_cell_length_c 8.543
_cell_angle_alpha 103.96
_cell_angle_beta 103.96
_cell_angle_gamma 25.53
loop_
_space_group_symop_operation_xyz
'x,y,z'
loop_
_atom_site_label
_atom_site_fract_x
_atom_site_fract_y
_atom_site_fract_z
Sr1 0.000 0.000 0.000
Sr2 0.328 0.328 0.660
Sr3 0.340 0.340 0.174
Sr4 0.660 0.660 0.826
Sr5 0.672 0.672 0.340
Pa1 0.000 0.000 0.500
Pt1 0.151 0.151 0.577
Pt2 0.495 0.495 0.719
Pt3 0.505 0.505 0.281
Pt4 0.849 0.849 0.423
```

Computed XRD peak list
Compound: Sr3PaPt4
Radiation: Cu Kα (weighted mean of Kα1 and Kα2)
Structure: a GGA-PBE-relaxed structure

Main lines, low angle first (2θ = 10–80°):
| 2θ (°) | Rel. int. |
| --- | --- |
| 12.36 | 42 |
| 29.33 | 45 |
| 29.49 | 100 |
| 38.13 | 13 |
| 40.77 | 18 |
| 42.08 | 65 |
| 43.58 | 19 |
| 51.01 | 15 |
| 53.40 | 17 |
| 69.30 | 13 |

```
data_Sr3PaPt4
_chemical_formula_sum 'Sr3 Pa1 Pt4'
_space_group_name_H-M_alt 'P 1'
_space_group_IT_number 1
_cell_length_a 7.529
_cell_length_b 7.529
_cell_length_c 4.153
_cell_angle_alpha 90.00
_cell_angle_beta 90.00
_cell_angle_gamma 107.98
loop_
_space_group_symop_operation_xyz
'x,y,z'
loop_
_atom_site_label
_atom_site_fract_x
_atom_site_fract_y
_atom_site_fract_z
Sr1 0.000 0.000 0.000
Sr2 0.000 0.500 0.500
Sr3 0.500 0.000 0.500
Pa1 0.500 0.500 0.000
Pt1 0.280 0.720 0.000
Pt2 0.285 0.285 0.500
Pt3 0.715 0.715 0.500
Pt4 0.720 0.280 0.000
```

Computed XRD peak list
Compound: Tb3PaPt4
Radiation: Cu Kα (weighted mean of Kα1 and Kα2)
Structure: a GGA-PBE-relaxed structure

Main lines, low angle first (2θ = 10–80°):
| 2θ (°) | Rel. int. |
| --- | --- |
| 13.26 | 1 |
| 30.98 | 100 |
| 44.20 | 38 |
| 44.56 | 37 |
| 54.95 | 20 |
| 55.56 | 6 |
| 64.57 | 12 |
| 73.04 | 11 |
| 73.14 | 6 |
| 73.59 | 17 |

```
data_Tb3PaPt4
_chemical_formula_sum 'Tb6 Pa2 Pt8'
_space_group_name_H-M_alt 'P 1'
_space_group_IT_number 1
_cell_length_a 7.091
_cell_length_b 8.204
_cell_length_c 7.026
_cell_angle_alpha 90.00
_cell_angle_beta 109.65
_cell_angle_gamma 90.00
loop_
_space_group_symop_operation_xyz
'x,y,z'
loop_
_atom_site_label
_atom_site_fract_x
_atom_site_fract_y
_atom_site_fract_z
Tb1 0.000 0.124 0.250
Tb2 0.000 0.367 0.750
Tb3 0.000 0.633 0.250
Tb4 0.000 0.876 0.750
Tb5 0.500 0.131 0.750
Tb6 0.500 0.869 0.250
Pa1 0.500 0.374 0.250
Pa2 0.500 0.626 0.750
Pt1 0.258 0.129 0.010
Pt2 0.258 0.384 0.496
Pt3 0.258 0.616 0.996
Pt4 0.258 0.871 0.510
Pt5 0.742 0.129 0.490
Pt6 0.742 0.384 0.004
Pt7 0.742 0.616 0.504
Pt8 0.742 0.871 0.990
```

Copy entry 6 word for word.
Computed XRD peak list
Compound: Pa2TiSi3Pt4
Radiation: Cu Kα (weighted mean of Kα1 and Kα2)
Structure: a GGA-PBE-relaxed structure

Main lines, low angle first (2θ = 10–80°):
| 2θ (°) | Rel. int. |
| --- | --- |
| 27.55 | 26 |
| 31.45 | 34 |
| 33.96 | 53 |
| 35.03 | 100 |
| 43.20 | 54 |
| 49.71 | 28 |
| 56.05 | 26 |
| 62.74 | 18 |
| 67.93 | 22 |
| 73.94 | 26 |

```
data_Pa2TiSi3Pt4
_chemical_formula_sum 'Pa2 Ti1 Si3 Pt4'
_space_group_name_H-M_alt 'P 1'
_space_group_IT_number 1
_cell_length_a 4.189
_cell_length_b 4.189
_cell_length_c 10.201
_cell_angle_alpha 90.00
_cell_angle_beta 90.00
_cell_angle_gamma 90.00
loop_
_space_group_symop_operation_xyz
'x,y,z'
loop_
_atom_site_label
_atom_site_fract_x
_atom_site_fract_y
_atom_site_fract_z
Pa1 0.000 0.500 0.243
Pa2 0.500 0.000 0.757
Ti1 0.000 0.000 0.500
Si1 0.000 0.500 0.871
Si2 0.500 0.000 0.129
Si3 0.500 0.500 0.500
Pt1 0.000 0.000 0.000
Pt2 0.000 0.500 0.638
Pt3 0.500 0.000 0.362
Pt4 0.500 0.500 0.000
```